The following is a theoretical XRD peak list of Hf7Ir3. It was derived from a DFT-relaxed cell (PBE, Alexandria), using Cu Ka.
Kinematic intensities with the Lorentz-polarization factor, no thermal factor.

Largest 10 diffraction maxima, sorted by position, 2θ = 10–90°:
hkl	Position (°2θ)	I (rel.)
1 0 2	33.18	41
2 1 1	33.86	100
3 0 0	34.08	23
3 0 1	37.61	76
2 0 2	38.77	79
2 2 0	39.56	77
2 1 2	43.74	27
3 0 3	59.71	23
5 0 1	60.87	25
5 2 1	77.32	26

```
20
Lattice="9.112 0.000 0.000 -4.556 7.891 0.000 0.000 0.000 5.747" Properties=species:S:1:pos:R:3 pbc="T T T"
Hf -1.784 4.231 0.000
Hf 0.000 2.107 1.670
Hf -2.731 6.837 1.670
Hf 1.825 1.054 4.543
Hf 0.000 5.261 2.691
Hf 1.784 4.231 0.000
Hf 0.000 7.321 0.000
Hf 4.556 0.570 2.874
Hf 2.772 3.660 2.874
Hf 4.556 2.630 5.565
Hf 2.731 6.837 1.670
Hf 7.287 1.054 4.543
Hf 4.556 5.784 4.543
Hf 6.340 3.660 2.874
Ir 0.000 3.004 4.225
Ir -1.954 6.389 4.225
Ir 2.602 1.502 1.351
Ir 1.954 6.389 4.225
Ir 6.510 1.502 1.351
Ir 4.556 4.887 1.351
```